[1]
For BePt2, a structure optimized by DFT (PBE) gives the calculated PXRD pattern in this record (Cu Kα (weighted mean of Kα1 and Kα2)).
Intensities are scaled so that the largest is 100.

Structural model:
Cell lengths 3.781, 3.781, 23.150 Å; angles 90.00, 90.00, 90.00 degrees
Space group I4_1/amd (No. 141, origin choice 2)
Inequivalent atoms, fractional coordinates:
Be: 0.000 0.250 0.298 x8
Pt: 0.000 0.250 0.123 x8
Pt: 0.000 0.250 0.789 x8

Largest 10 diffraction maxima, low angle first, 5° ≤ 2θ ≤ 70°:
h k l	2θ (°)	intensity
0 0 4	15.3	12
1 0 1	23.8	35
1 0 5	30.5	19
1 1 2	34.4	10
1 0 7	36.1	12
1 1 6	41.1	100
0 0 12	47.1	17
2 0 0	48.1	32
2 1 1	54.4	8
2 0 12	69.6	21

---

[2]
For Be2Pt, a structure optimized by DFT (PBE) gives the calculated PXRD pattern in this record (Cu Kα (weighted mean of Kα1 and Kα2)).
Intensities are scaled so that the largest is 100.

Structural model:
Cell lengths 4.316, 7.988, 4.249 Å; angles 90.00, 120.43, 90.00 degrees
Space group C2/c (No. 15)
Inequivalent atoms, fractional coordinates:
Be: 0.163 0.125 0.076 x8
Pt: 0.000 0.375 0.250 x4

Largest 10 diffraction maxima, low angle first, 5° ≤ 2θ ≤ 70°:
h k l	2θ (°)	intensity
1 1 0	26.4	100
0 2 1	33.2	57
1 3 -1	41.7	31
1 1 -2	44.1	31
0 4 0	45.4	14
2 2 -1	47.9	25
2 0 0	49.0	20
0 0 2	49.8	9
1 3 1	55.3	16
2 4 0	69.0	14

---

[3]
For BePt2, a structure optimized by DFT (PBE) gives the calculated PXRD pattern in this record (Cu Kα (weighted mean of Kα1 and Kα2)).
Intensities are scaled so that the largest is 100.

Structural model:
Cell lengths 2.768, 2.768, 20.998 Å; angles 90.00, 90.00, 90.00 degrees
Space group I4_1/amd (No. 141, origin choice 2)
Inequivalent atoms, fractional coordinates:
Be: 0.000 0.250 0.375 x4
Pt: 0.000 0.250 0.807 x8

Largest 10 diffraction maxima, low angle first, 5° ≤ 2θ ≤ 70°:
h k l	2θ (°)	intensity
1 0 1	32.6	100
0 0 8	34.2	50
1 0 3	34.9	8
1 0 5	39.0	23
1 0 7	44.5	54
1 1 2	47.2	41
1 0 9	51.2	22
1 1 6	53.6	42
1 0 13	67.1	8
2 0 0	67.7	16

---

[4]
For Be3Pt2, a structure optimized by DFT (PBE) gives the calculated PXRD pattern in this record (Cu Kα (weighted mean of Kα1 and Kα2)).
Intensities are scaled so that the largest is 100.

Structural model:
Cell lengths 7.689, 12.186, 4.704 Å; angles 90.00, 90.00, 90.00 degrees
Space group Fdd2 (No. 43)
Inequivalent atoms, fractional coordinates:
Be: 0.000 0.000 0.000 x8
Be: 0.056 0.383 0.096 x16
Pt: 0.052 0.303 0.617 x16

Largest 10 diffraction maxima, low angle first, 5° ≤ 2θ ≤ 70°:
h k l	2θ (°)	intensity
1 1 1	23.3	57
2 2 0	27.4	83
1 3 1	31.3	100
2 4 0	37.7	34
3 1 1	40.8	51
0 2 2	41.1	47
1 5 1	43.4	64
2 0 2	45.2	40
3 3 1	46.1	25
4 2 0	49.7	18